Record 1
Starting from a DFT-relaxed cell (PBE, OQMD), the XRD peak list of BaTcPO was computed for Cu Kα (weighted mean of Kα1 and Kα2).

Main lines, by intensity (10 to 90 degrees two-theta):
- d = 3.210 Å, 2θ 27.79, I = 100
- d = 2.885 Å, 2θ 31.00, I = 61
- d = 1.895 Å, 2θ 48.02, I = 60
- d = 2.136 Å, 2θ 42.31, I = 48
- d = 3.912 Å, 2θ 22.73, I = 42
- d = 3.244 Å, 2θ 27.50, I = 35
- d = 1.778 Å, 2θ 51.38, I = 35
- d = 4.866 Å, 2θ 18.23, I = 35
- d = 2.566 Å, 2θ 34.96, I = 34
- d = 1.784 Å, 2θ 51.21, I = 25

Structure:
```
BaTcPO
1.0
4.272 0.000 0.000
0.000 4.272 0.000
0.000 0.000 9.732
Ba Tc P O
2 2 2 2
Cartesian
1.068 1.068 1.330 Ba
3.204 3.204 8.402 Ba
1.068 3.204 4.866 Tc
3.204 1.068 4.866 Tc
1.068 1.068 5.811 P
3.204 3.204 3.921 P
1.068 3.204 0.000 O
3.204 1.068 0.000 O
```

Record 2
Starting from a DFT-relaxed cell (PBE, OQMD), the XRD peak list of BaZn2P2O8 was computed for Cu Kα (weighted mean of Kα1 and Kα2).

Main lines, by intensity (10 to 90 degrees two-theta):
- d = 4.040 Å, 2θ 22.00, I = 100
- d = 2.640 Å, 2θ 33.95, I = 76
- d = 3.039 Å, 2θ 29.39, I = 72
- d = 3.053 Å, 2θ 29.26, I = 66
- d = 3.817 Å, 2θ 23.31, I = 66
- d = 3.564 Å, 2θ 24.99, I = 61
- d = 3.953 Å, 2θ 22.49, I = 44
- d = 2.563 Å, 2θ 35.01, I = 43
- d = 3.314 Å, 2θ 26.90, I = 42
- d = 2.707 Å, 2θ 33.09, I = 37

Structure:
```
BaZn2P2O8
1.0
8.562 0.000 0.000
0.000 9.752 0.000
-0.239 0.000 9.037
Ba Zn P O
4 8 8 32
Cartesian
2.082 0.815 0.981 Ba
1.962 4.061 5.499 Ba
6.360 5.691 3.538 Ba
6.241 8.937 8.056 Ba
0.735 6.637 0.503 Zn
0.615 7.991 5.022 Zn
3.477 0.724 6.436 Zn
3.596 4.152 1.918 Zn
4.726 5.600 7.119 Zn
4.846 9.028 2.600 Zn
7.707 1.761 4.015 Zn
7.588 3.115 8.533 Zn
0.311 0.864 6.726 P
0.430 4.012 2.208 P
3.857 6.863 0.641 P
3.738 7.765 5.159 P
4.585 1.987 3.878 P
4.465 2.889 8.396 P
7.892 5.740 6.829 P
8.012 8.888 2.311 P
0.004 0.495 2.803 O
-0.116 4.381 7.321 O
0.265 6.160 5.658 O
0.385 8.468 1.140 O
0.332 1.898 5.587 O
0.451 2.978 1.069 O
1.735 0.741 7.327 O
1.854 4.135 2.809 O
2.327 6.349 9.021 O
2.446 8.280 4.502 O
3.413 1.863 4.890 O
3.532 3.013 0.371 O
3.629 6.279 5.594 O
3.749 8.350 1.076 O
4.213 1.118 2.636 O
4.093 3.758 7.154 O
4.229 5.994 1.883 O
4.110 8.635 6.401 O
4.574 1.403 7.961 O
4.693 3.474 3.442 O
4.790 6.739 8.665 O
4.910 7.889 4.147 O
5.876 1.472 4.534 O
5.996 3.404 0.016 O
6.468 5.617 6.228 O
6.588 9.012 1.709 O
7.871 6.774 7.968 O
7.991 7.854 3.449 O
7.938 1.284 7.897 O
8.057 3.592 3.379 O
8.438 5.371 1.716 O
8.319 9.257 6.234 O
```

Record 3
Starting from a DFT-relaxed cell (PBE, OQMD), the XRD peak list of Ba3Pa2O7 was computed for Cu Kα (weighted mean of Kα1 and Kα2).

Main lines, by intensity (10 to 90 degrees two-theta):
- d = 3.192 Å, 2θ 27.95, I = 100
- d = 1.843 Å, 2θ 49.45, I = 40
- d = 2.257 Å, 2θ 39.94, I = 27
- d = 1.596 Å, 2θ 57.76, I = 17
- d = 1.207 Å, 2θ 79.40, I = 14
- d = 1.428 Å, 2θ 65.33, I = 13
- d = 5.636 Å, 2θ 15.72, I = 7
- d = 4.429 Å, 2θ 20.05, I = 6
- d = 2.191 Å, 2θ 41.21, I = 5
- d = 1.303 Å, 2θ 72.54, I = 5

Structure:
```
Ba3Pa2O7
1.0
-2.259 2.259 11.271
2.259 -2.259 11.271
2.259 2.259 -11.271
Ba Pa O
3 2 7
Cartesian
0.000 0.000 0.000 Ba
0.000 0.000 4.220 Ba
0.000 0.000 18.322 Ba
0.000 0.000 9.002 Pa
0.000 0.000 13.541 Pa
2.259 0.000 2.193 O
0.000 0.000 6.716 O
2.259 0.000 9.078 O
0.000 0.000 11.271 O
0.000 2.259 2.193 O
0.000 0.000 15.827 O
0.000 2.259 9.078 O
```

Record 4
Starting from a DFT-relaxed cell (PBE, OQMD), the XRD peak list of BaPa4O12 was computed for Cu Kα (weighted mean of Kα1 and Kα2).

Main lines, by intensity (10 to 90 degrees two-theta):
- d = 3.066 Å, 2θ 29.12, I = 100
- d = 4.337 Å, 2θ 20.48, I = 89
- d = 1.770 Å, 2θ 51.63, I = 44
- d = 1.939 Å, 2θ 46.85, I = 42
- d = 2.168 Å, 2θ 41.65, I = 31
- d = 1.159 Å, 2θ 83.39, I = 24
- d = 1.446 Å, 2θ 64.46, I = 20
- d = 1.533 Å, 2θ 60.37, I = 20
- d = 1.371 Å, 2θ 68.41, I = 19
- d = 2.504 Å, 2θ 35.87, I = 14

Structure:
```
BaPa4O12
1.0
-4.337 4.337 4.337
4.337 -4.337 4.337
4.337 4.337 -4.337
Ba Pa O
1 4 12
Cartesian
0.000 0.000 0.000 Ba
2.168 2.168 -2.168 Pa
2.168 -2.168 2.168 Pa
-2.168 2.168 2.168 Pa
2.168 2.168 2.168 Pa
4.337 2.280 -2.266 O
2.070 0.000 2.056 O
6.603 0.000 2.056 O
2.056 2.070 0.000 O
2.280 -2.266 4.337 O
0.000 2.056 2.070 O
4.337 2.280 2.266 O
2.056 6.603 0.000 O
2.280 2.266 4.337 O
-2.266 4.337 2.280 O
2.266 4.337 2.280 O
0.000 2.056 6.603 O
```

Record 5
Starting from a DFT-relaxed cell (PBE, OQMD), the XRD peak list of BaPd4O2 was computed for Cu Kα (weighted mean of Kα1 and Kα2).

Main lines, by intensity (10 to 90 degrees two-theta):
- d = 2.508 Å, 2θ 35.80, I = 100
- d = 2.720 Å, 2θ 32.93, I = 61
- d = 2.094 Å, 2θ 43.20, I = 54
- d = 2.899 Å, 2θ 30.84, I = 44
- d = 2.206 Å, 2θ 40.91, I = 30
- d = 1.657 Å, 2θ 55.46, I = 19
- d = 1.449 Å, 2θ 64.27, I = 19
- d = 2.916 Å, 2θ 30.66, I = 17
- d = 2.109 Å, 2θ 42.87, I = 15
- d = 1.284 Å, 2θ 73.78, I = 14

Structure:
```
BaPd4O2
1.0
7.865 0.000 0.000
0.000 8.696 0.000
-0.071 0.000 3.311
Ba Pd O
2 8 4
Cartesian
0.000 0.000 0.000 Ba
3.932 4.348 0.000 Ba
1.146 2.915 2.464 Pd
1.146 5.781 2.464 Pd
2.715 1.433 0.848 Pd
2.715 7.263 0.848 Pd
5.079 1.433 2.464 Pd
5.079 7.263 2.464 Pd
6.648 2.915 0.848 Pd
6.648 5.781 0.848 Pd
1.433 4.348 0.868 O
2.428 0.000 2.443 O
5.365 0.000 0.868 O
6.361 4.348 2.443 O
```

Record 6
Starting from a DFT-relaxed cell (PBE, OQMD), the XRD peak list of BaPdPtO3 was computed for Cu Kα (weighted mean of Kα1 and Kα2).

Main lines, by intensity (10 to 90 degrees two-theta):
- d = 2.728 Å, 2θ 32.83, I = 100
- d = 2.877 Å, 2θ 31.08, I = 86
- d = 2.704 Å, 2θ 33.13, I = 85
- d = 1.621 Å, 2θ 56.81, I = 41
- d = 1.636 Å, 2θ 56.22, I = 39
- d = 1.540 Å, 2θ 60.07, I = 28
- d = 2.055 Å, 2θ 44.06, I = 24
- d = 2.015 Å, 2θ 45.00, I = 24
- d = 1.824 Å, 2θ 50.02, I = 17
- d = 1.439 Å, 2θ 64.80, I = 15

Structure:
```
BaPdPtO3
1.0
3.647 0.000 0.000
0.000 4.029 0.000
0.000 0.000 12.331
Ba Pd Pt O
2 2 2 6
Cartesian
0.000 0.000 0.000 Ba
1.824 2.015 6.166 Ba
0.000 0.000 4.076 Pd
1.824 2.015 10.242 Pd
0.000 0.000 8.274 Pt
1.824 2.015 2.109 Pt
0.000 0.000 6.218 O
0.000 2.015 3.903 O
0.000 2.015 8.586 O
1.824 0.000 2.420 O
1.824 0.000 10.069 O
1.824 2.015 0.053 O
```